1.
Structure and computed powder diffraction line list of CaCu3Sb4O12 (the PBE geometry in the Materials Project; Cu Kα X-rays).
No peak broadening, texture or thermal motion is included.

Top 6 peaks for 5° ≤ 2θ ≤ 70°, low angle first:
2θ (°)  I (rel.)
22.7  18
32.3  100
46.4  25
52.3  9
57.7  47
67.7  13

Atomic structure:
Unit cell a=6.779 b=6.779 c=6.779 alpha=109.47 beta=109.47 gamma=109.47
Element x y z (fractional)
Ca (0.000, 0.000, 0.000)
Cu (0.000, 0.500, 0.500)
Cu (0.500, 0.000, 0.500)
Cu (0.500, 0.500, 0.000)
Sb (0.000, 0.000, 0.500)
Sb (0.000, 0.500, 0.000)
Sb (0.500, 0.000, 0.000)
Sb (0.500, 0.500, 0.500)
O (0.126, 0.301, 0.825)
O (0.175, 0.476, 0.301)
O (0.175, 0.874, 0.699)
O (0.301, 0.175, 0.476)
O (0.301, 0.825, 0.126)
O (0.476, 0.301, 0.175)
O (0.524, 0.699, 0.825)
O (0.699, 0.175, 0.874)
O (0.699, 0.825, 0.524)
O (0.825, 0.126, 0.301)
O (0.825, 0.524, 0.699)
O (0.874, 0.699, 0.175)

=====

2.
Structure and computed powder diffraction line list of Fe11MoC4 (the PBE geometry in the Materials Project; Cu Kα X-rays).
No peak broadening, texture or thermal motion is included.

Top 6 peaks for 5° ≤ 2θ ≤ 70°, low angle first:
2θ (°)  I (rel.)
40.8  100
42.0  92
44.9  98
54.3  21
63.7  16
67.0  13

Atomic structure:
Unit cell a=5.586 b=10.144 c=2.922 alpha=90.00 beta=90.00 gamma=90.00
Element x y z (fractional)
Fe (0.000, 0.000, 0.000)
Fe (0.000, 0.324, 0.012)
Fe (0.000, 0.676, 0.012)
Fe (0.241, 0.186, 0.508)
Fe (0.241, 0.814, 0.508)
Fe (0.255, 0.500, 0.527)
Fe (0.500, 0.315, 0.014)
Fe (0.500, 0.685, 0.014)
Fe (0.745, 0.500, 0.527)
Fe (0.759, 0.186, 0.508)
Fe (0.759, 0.814, 0.508)
Mo (0.500, 0.000, 0.001)
C (0.000, 0.500, 0.028)
C (0.226, 0.000, 0.498)
C (0.500, 0.500, 0.027)
C (0.774, 0.000, 0.498)

=====

3.
Structure and computed powder diffraction line list of Li3W (the PBE geometry in the Materials Project; Cu Kα X-rays).
No peak broadening, texture or thermal motion is included.

Top 6 peaks for 5° ≤ 2θ ≤ 70°, low angle first:
2θ (°)  I (rel.)
18.5  44
27.7  100
32.3  45
43.1  38
53.7  22
54.9  31

Atomic structure:
Unit cell a=5.537 b=5.537 c=4.340 alpha=90.00 beta=90.00 gamma=120.00
Element x y z (fractional)
Li (0.165, 0.330, 0.250)
Li (0.165, 0.835, 0.250)
Li (0.330, 0.165, 0.750)
Li (0.670, 0.835, 0.250)
Li (0.835, 0.165, 0.750)
Li (0.835, 0.670, 0.750)
W (0.333, 0.667, 0.750)
W (0.667, 0.333, 0.250)

=====

4.
Structure and computed powder diffraction line list of YWN3 (the PBE geometry in the Materials Project; Cu Kα X-rays).
No peak broadening, texture or thermal motion is included.

Top 6 peaks for 5° ≤ 2θ ≤ 70°, low angle first:
2θ (°)  I (rel.)
16.2  68
16.7  100
29.4  87
29.7  59
32.5  65
34.0  98

Atomic structure:
Unit cell a=5.767 b=3.651 c=8.011 alpha=90.00 beta=108.03 gamma=90.00
Element x y z (fractional)
Y (0.204, 0.250, 0.403)
Y (0.796, 0.750, 0.597)
W (0.386, 0.250, 0.819)
W (0.614, 0.750, 0.181)
N (0.073, 0.250, 0.655)
N (0.371, 0.750, 0.910)
N (0.438, 0.750, 0.338)
N (0.562, 0.250, 0.662)
N (0.629, 0.250, 0.090)
N (0.927, 0.750, 0.345)

=====

- Number 3 is which compound?
  Li3W

=====

- Number 2 is which compound?
  Fe11MoC4